For Mn6O5F7, the GGA+U geometry in the Materials Project gives the simulated X-ray diffraction stick pattern in this record (a wavelength of 1.5418 Å).

Cell and atoms:
```
Mn6O5F7
1.0
4.7508 0.0000 0.0000
0.1641 5.6625 0.0000
0.2491 0.4342 7.9038
Mn O F
6 5 7
direct
0.0000 0.0000 0.0000 Mn
0.0048 0.6797 0.3316 Mn
0.0467 0.3487 0.6522 Mn
0.4571 0.8465 0.6666 Mn
0.5157 0.1795 0.3254 Mn
0.5385 0.5258 0.0037 Mn
0.1886 0.6329 0.5466 O
0.3161 0.7987 0.9042 O
0.3218 0.1517 0.5473 O
0.7078 0.2226 0.1018 O
0.8224 0.7284 0.1136 O
0.2157 0.2987 0.9047 F
0.2204 0.9833 0.2374 F
0.3035 0.4828 0.2291 F
0.7049 0.8690 0.4396 F
0.7239 0.5420 0.7558 F
0.8016 0.3723 0.4229 F
0.8350 0.0620 0.7510 F
```

Peak list (10 most intense, 15 to 90 degrees two-theta, sorted by position)
3.418 Å, 26.07°, I = 100
3.282 Å, 27.17°, I = 90
2.638 Å, 33.99°, I = 55
2.618 Å, 34.25°, I = 48
2.276 Å, 39.60°, I = 18
1.768 Å, 51.69°, I = 16
1.739 Å, 52.64°, I = 27
1.709 Å, 53.63°, I = 17
1.641 Å, 56.04°, I = 16
1.579 Å, 58.43°, I = 19

For Sr2LiCoWO6, the GGA+U geometry in the Materials Project gives the simulated X-ray diffraction stick pattern in this record (a wavelength of 1.5418 Å).

Cell and atoms:
```
Sr2LiCoWO6
1.0
5.3132 0.0000 0.0000
-0.0757 5.5175 0.0000
-2.0887 -2.7088 5.0318
Sr Li Co W O
2 1 1 1 6
direct
0.1908 0.2190 0.4340 Sr
0.8092 0.7810 0.5660 Sr
0.5000 0.5000 0.0000 Li
0.5000 0.0000 0.0000 Co
0.0000 0.5000 0.0000 W
0.2050 0.1822 0.8661 O
0.2100 0.6695 0.8516 O
0.2986 0.6745 0.3430 O
0.7014 0.3255 0.6570 O
0.7900 0.3305 0.1484 O
0.7950 0.8178 0.1339 O
```

Peak list (10 most intense, 15 to 90 degrees two-theta, sorted by position)
4.894 Å, 18.13°, I = 39
3.158 Å, 28.26°, I = 100
2.957 Å, 30.22°, I = 57
2.914 Å, 30.68°, I = 58
2.759 Å, 32.46°, I = 43
2.642 Å, 33.93°, I = 31
2.516 Å, 35.69°, I = 25
1.923 Å, 47.26°, I = 33
1.894 Å, 48.03°, I = 21
1.636 Å, 56.22°, I = 17

For Fe4O5F3, the GGA+U geometry in the Materials Project gives the simulated X-ray diffraction stick pattern in this record (a wavelength of 1.5418 Å).

Cell and atoms:
```
Fe4O5F3
1.0
4.7736 0.0000 0.0000
-0.0157 6.0649 0.0000
-0.7761 -3.0049 9.5003
Fe O F
8 10 6
direct
0.0000 0.0000 0.0000 Fe
0.0104 0.7353 0.4830 Fe
0.0238 0.2461 0.4875 Fe
0.4450 0.1277 0.7652 Fe
0.4847 0.3722 0.2650 Fe
0.4998 0.6219 0.7405 Fe
0.5558 0.8726 0.2293 Fe
0.9725 0.4900 0.9860 Fe
0.1622 0.2002 0.9058 O
0.2012 0.4506 0.4031 O
0.3032 0.3220 0.6492 O
0.3026 0.8240 0.6495 O
0.3082 0.0709 0.1468 O
0.6722 0.4160 0.8394 O
0.6819 0.9217 0.8451 O
0.6990 0.6681 0.3368 O
0.7141 0.1703 0.3435 O
0.8215 0.7893 0.0815 O
0.1915 0.6921 0.8948 F
0.2099 0.9428 0.3920 F
0.3004 0.5702 0.1424 F
0.7953 0.3015 0.0961 F
0.8070 0.5452 0.5917 F
0.8355 0.0384 0.5793 F
```

Peak list (10 most intense, 15 to 90 degrees two-theta, sorted by position)
3.509 Å, 25.38°, I = 100
3.231 Å, 27.61°, I = 92
2.558 Å, 35.08°, I = 72
2.553 Å, 35.16°, I = 23
2.377 Å, 37.85°, I = 16
1.783 Å, 51.23°, I = 15
1.777 Å, 51.41°, I = 26
1.704 Å, 53.81°, I = 50
1.516 Å, 61.12°, I = 17
1.406 Å, 66.51°, I = 19

For Li9Mn2Co5O16, the GGA+U geometry in the Materials Project gives the simulated X-ray diffraction stick pattern in this record (a wavelength of 1.5418 Å).

Cell and atoms:
```
Li9Mn2Co5O16
1.0
19.2603 -1.4403 0.0000
19.2603 1.4403 0.0000
-0.1437 0.0000 5.1803
Li Mn Co O
9 2 5 16
direct
0.0000 0.0000 0.0000 Li
0.0597 0.0597 0.6749 Li
0.1191 0.1191 0.3523 Li
0.2478 0.2478 0.7347 Li
0.3735 0.3735 0.1131 Li
0.4999 0.4999 0.4934 Li
0.6183 0.6183 0.8499 Li
0.7474 0.7474 0.2405 Li
0.8746 0.8746 0.6121 Li
0.1848 0.1848 0.0469 Mn
0.3106 0.3106 0.4257 Mn
0.4361 0.4361 0.8029 Co
0.5598 0.5598 0.1757 Co
0.6843 0.6843 0.5472 Co
0.8104 0.8104 0.9259 Co
0.9355 0.9355 0.3028 Co
0.0326 0.0326 0.3162 O
0.0874 0.0874 0.0354 O
0.1549 0.1549 0.6872 O
0.2146 0.2146 0.4104 O
0.2822 0.2822 0.0565 O
0.3380 0.3380 0.7941 O
0.4061 0.4061 0.4534 O
0.4637 0.4637 0.1530 O
0.5331 0.5331 0.8857 O
0.5869 0.5869 0.4688 O
0.6570 0.6570 0.1942 O
0.7134 0.7134 0.9037 O
0.7815 0.7815 0.5595 O
0.8390 0.8390 0.2904 O
0.9059 0.9059 0.9527 O
0.9655 0.9655 0.6474 O
```

Peak list (10 most intense, 15 to 90 degrees two-theta, sorted by position)
4.813 Å, 18.43°, I = 100
2.557 Å, 35.09°, I = 18
2.477 Å, 36.27°, I = 25
2.384 Å, 37.73°, I = 8
2.122 Å, 42.60°, I = 30
2.057 Å, 44.02°, I = 54
1.906 Å, 47.73°, I = 10
1.589 Å, 58.04°, I = 10
1.481 Å, 62.72°, I = 16
1.473 Å, 63.13°, I = 15

For Na3Li3Fe2P2C2O14, the GGA+U geometry in the Materials Project gives the simulated X-ray diffraction stick pattern in this record (a wavelength of 1.5418 Å).

Cell and atoms:
```
Na3Li3Fe2P2C2O14
1.0
6.7102 0.0000 0.0000
0.0123 8.7177 0.0000
0.0750 0.3669 10.1710
Na Li Fe P C O
6 6 4 4 4 28
direct
0.0000 0.0000 0.0000 Na
0.0001 0.4796 0.2537 Na
0.0020 0.9977 0.4988 Na
0.2521 0.6551 0.9945 Na
0.5022 0.4790 0.2555 Na
0.5036 0.4854 0.7434 Na
0.0252 0.4648 0.7500 Li
0.2537 0.6550 0.4980 Li
0.5217 0.0127 0.4932 Li
0.5243 0.0196 0.9898 Li
0.7368 0.8350 0.2496 Li
0.7475 0.8364 0.7505 Li
0.2573 0.0893 0.2663 Fe
0.2600 0.0903 0.7602 Fe
0.7542 0.3875 0.4906 Fe
0.7563 0.3886 0.9804 Fe
0.2539 0.3340 0.5249 P
0.2590 0.3216 0.0179 P
0.7479 0.1456 0.2331 P
0.7555 0.1478 0.7267 P
0.2463 0.7944 0.7308 C
0.2533 0.7916 0.2433 C
0.7417 0.6964 0.0100 C
0.7449 0.6952 0.5108 C
0.0690 0.4268 0.4774 O
0.0724 0.4138 0.9680 O
0.2247 0.6482 0.7136 O
0.2383 0.3090 0.6783 O
0.2473 0.3012 0.1707 O
0.2471 0.8506 0.8473 O
0.2489 0.8403 0.3623 O
0.2517 0.6469 0.2219 O
0.2603 0.8915 0.1441 O
0.2689 0.8887 0.6301 O
0.2718 0.1612 0.9584 O
0.2723 0.1748 0.4629 O
0.4348 0.4403 0.4911 O
0.4429 0.4229 0.9790 O
0.5723 0.0435 0.2869 O
0.5761 0.0545 0.7850 O
0.7242 0.8383 0.0434 O
0.7270 0.8356 0.5471 O
0.7279 0.1722 0.0810 O
0.7308 0.1689 0.5745 O
0.7455 0.6587 0.8878 O
0.7490 0.6601 0.3880 O
0.7507 0.3030 0.2987 O
0.7569 0.5886 0.1023 O
0.7597 0.5855 0.6018 O
0.7734 0.3100 0.7845 O
0.9382 0.0486 0.2634 O
0.9401 0.0450 0.7572 O
```

Peak list (10 most intense, 15 to 90 degrees two-theta, sorted by position)
5.316 Å, 16.68°, I = 31
4.463 Å, 19.90°, I = 31
4.325 Å, 20.54°, I = 31
3.369 Å, 26.46°, I = 37
3.355 Å, 26.57°, I = 100
2.658 Å, 33.72°, I = 53
2.543 Å, 35.30°, I = 50
2.329 Å, 38.66°, I = 34
1.827 Å, 49.92°, I = 32
1.677 Å, 54.72°, I = 26

For Li4CrNi3P4O16, the GGA+U geometry in the Materials Project gives the simulated X-ray diffraction stick pattern in this record (a wavelength of 1.5418 Å).

Cell and atoms:
```
Li4CrNi3P4O16
1.0
4.7422 0.0000 0.0000
0.0000 6.0389 0.0000
-0.0874 0.0000 10.1612
Li Cr Ni P O
4 1 3 4 16
direct
0.0000 0.2462 0.0000 Li
0.0000 0.7538 0.0000 Li
0.4923 0.2477 0.5044 Li
0.4923 0.7523 0.5044 Li
0.5399 0.5000 0.2212 Cr
0.0177 0.0000 0.2792 Ni
0.4797 0.0000 0.7781 Ni
0.9782 0.5000 0.7257 Ni
0.0807 0.5000 0.4087 P
0.4163 0.5000 0.9072 P
0.5827 0.0000 0.0950 P
0.9130 0.0000 0.5964 P
0.1960 0.5000 0.5530 O
0.2132 0.2918 0.3411 O
0.2132 0.7082 0.3411 O
0.2372 0.0000 0.6031 O
0.2589 0.0000 0.1008 O
0.2761 0.2948 0.8370 O
0.2761 0.7052 0.8370 O
0.3004 0.5000 0.0500 O
0.6974 0.0000 0.9519 O
0.7271 0.1996 0.1665 O
0.7271 0.8004 0.1665 O
0.7405 0.5000 0.9031 O
0.7556 0.5000 0.4013 O
0.7740 0.2042 0.6682 O
0.7740 0.7958 0.6682 O
0.7942 0.0000 0.4536 O
```

Peak list (10 most intense, 15 to 90 degrees two-theta, sorted by position)
5.081 Å, 17.46°, I = 54
4.311 Å, 20.60°, I = 42
4.283 Å, 20.74°, I = 34
3.509 Å, 25.38°, I = 63
3.492 Å, 25.51°, I = 74
3.019 Å, 29.59°, I = 100
2.516 Å, 35.69°, I = 73
2.499 Å, 35.94°, I = 72
2.471 Å, 36.36°, I = 40
1.510 Å, 61.41°, I = 30

For Fe3P2O12, the GGA+U geometry in the Materials Project gives the simulated X-ray diffraction stick pattern in this record (a wavelength of 1.5418 Å).

Cell and atoms:
```
Fe3P2O12
1.0
8.6833 0.0000 0.0000
0.0000 4.5616 0.0000
-2.7379 0.0000 10.2922
Fe P O
6 4 24
direct
0.0000 0.0000 0.0000 Fe
0.0000 0.5000 0.5000 Fe
0.3404 0.0746 0.1802 Fe
0.3404 0.4254 0.6802 Fe
0.6596 0.5746 0.3198 Fe
0.6596 0.9254 0.8198 Fe
0.2347 0.0126 0.4448 P
0.2347 0.4874 0.9448 P
0.7653 0.5126 0.0552 P
0.7653 0.9874 0.5552 P
0.0811 0.1975 0.3952 O
0.0811 0.3025 0.8952 O
0.1275 0.2042 0.1423 O
0.1275 0.2958 0.6423 O
0.2043 0.7392 0.5244 O
0.2043 0.7608 0.0244 O
0.2898 0.6169 0.8284 O
0.2898 0.8831 0.3284 O
0.3702 0.2023 0.5311 O
0.3702 0.2977 0.0311 O
0.4694 0.1355 0.7976 O
0.4694 0.3645 0.2976 O
0.5306 0.6355 0.7024 O
0.5306 0.8645 0.2024 O
0.6298 0.7023 0.9689 O
0.6298 0.7977 0.4689 O
0.7102 0.1169 0.6716 O
0.7102 0.3831 0.1716 O
0.7957 0.2392 0.9756 O
0.7957 0.2608 0.4756 O
0.8725 0.7042 0.3577 O
0.8725 0.7958 0.8577 O
0.9189 0.6975 0.1048 O
0.9189 0.8025 0.6048 O
```

Peak list (10 most intense, 15 to 90 degrees two-theta, sorted by position)
4.996 Å, 17.75°, I = 93
4.008 Å, 22.18°, I = 17
3.957 Å, 22.47°, I = 19
3.900 Å, 22.80°, I = 100
3.589 Å, 24.81°, I = 31
2.815 Å, 31.79°, I = 53
2.780 Å, 32.20°, I = 43
2.547 Å, 35.23°, I = 26
2.385 Å, 37.72°, I = 16
2.191 Å, 41.19°, I = 20

For LiFeCoO4, the GGA+U geometry in the Materials Project gives the simulated X-ray diffraction stick pattern in this record (a wavelength of 1.5418 Å).

Cell and atoms:
```
LiFeCoO4
1.0
-2.8878 2.9611 4.1340
2.8878 -2.9611 4.1340
2.8878 2.9611 -4.1340
Li Fe Co O
2 2 2 8
direct
0.3696 0.1196 0.2500 Li
0.6304 0.8804 0.7500 Li
0.0000 0.5000 0.5000 Fe
0.5000 0.5000 0.0000 Fe
0.0000 0.0000 0.5000 Co
0.0000 0.5000 0.0000 Co
0.2084 0.7469 0.4615 O
0.2147 0.2531 0.9615 O
0.2290 0.2457 0.5167 O
0.2290 0.7123 0.9833 O
0.7710 0.2877 0.0167 O
0.7710 0.7543 0.4833 O
0.7853 0.7469 0.0385 O
0.7916 0.2531 0.5385 O
```

Peak list (10 most intense, 15 to 90 degrees two-theta, sorted by position)
4.815 Å, 18.43°, I = 100
4.735 Å, 18.74°, I = 67
2.511 Å, 35.77°, I = 25
2.499 Å, 35.94°, I = 13
2.487 Å, 36.11°, I = 14
2.476 Å, 36.27°, I = 26
2.407 Å, 37.36°, I = 11
2.067 Å, 43.79°, I = 88
1.599 Å, 57.65°, I = 12
1.462 Å, 63.66°, I = 35